Structure and calculated XRD peak list of V2PbF8 (a crystal structure in Alexandria, relaxed with PBE+U; a wavelength of 1.5418 Å).

The 8 most intense peaks (10° ≤ 2θ ≤ 90°), by intensity:
(hkl)	d [Å]	I_rel
1 1 0	3.559	100
0 1 1	3.391	97
1 0 0	6.164	68
1 2 1	2.021	42
0 2 1	2.455	39
1 1 1	2.676	39
2 2 0	1.779	28
1 0 2	1.928	27

Structural model:
```
V2PbF8
1.0
7.118 0.000 0.000
-3.559 6.164 0.000
0.000 0.000 4.060
V Pb F
2 1 8
Cartesian
0.000 4.109 1.131 V
3.559 2.055 2.929 V
0.000 0.000 0.000 Pb
-1.636 5.042 1.091 F
0.011 2.227 1.091 F
0.000 4.109 3.144 F
1.934 1.104 2.969 F
1.625 5.060 1.091 F
3.559 2.055 0.916 F
3.548 3.937 2.969 F
5.194 1.122 2.969 F
```